Theoretical powder diffractogram of Mn3Sb5 for Cu Kα, from a cell relaxed with GGA-PBE.

Top 10 peaks for 15° ≤ 2θ ≤ 90°, by angle:
2theta, I_rel, index
25.57, 10, 1 1 1
26.78, 9, 0 2 1
31.78, 29, 0 4 0
35.18, 100, 2 2 1
43.86, 15, 0 0 2
45.70, 11, 4 0 0
55.17, 12, 0 4 2
56.74, 8, 4 4 0
58.83, 14, 2 6 1
74.96, 10, 2 2 3

Structure:
```
data_Mn3Sb5
_chemical_formula_sum 'Mn6 Sb10'
_symmetry_space_group_name_H-M 'C m m m'
_symmetry_Int_Tables_number 65
_symmetry_space_group_name_Hall '-C 2 2'
_cell_length_a 7.941
_cell_length_b 11.264
_cell_length_c 4.128
_cell_angle_alpha 90.00
_cell_angle_beta 90.00
_cell_angle_gamma 90.00
loop_
_atom_site_label
_atom_site_fract_x
_atom_site_fract_y
_atom_site_fract_z
Mn1 0.000 0.000 0.000
Mn2 0.000 0.196 0.500
Sb1 0.000 0.500 0.000
Sb2 0.217 0.000 0.500
Sb3 0.250 0.250 0.000
```